This entry pairs a crystal structure of CsAuBr2Cl with its simulated powder diffractogram. Radiation: Cu Kα X-rays. Structure: DFT lattice parameters and positions (GGA-PBE).

Principal peaks in the range 2θ = 15–90°, low angle first:
| d/Å | Position (°2θ) | I (rel.) |
| --- | --- | --- |
| 5.668 | 15.6 | 25.4 |
| 3.961 | 22.4 | 100.0 |
| 3.915 | 22.7 | 23.1 |
| 2.834 | 31.6 | 31.2 |
| 2.768 | 32.3 | 60.1 |
| 2.269 | 39.7 | 43.2 |
| 1.980 | 45.8 | 41.7 |
| 1.957 | 46.4 | 20.6 |

```
10
Lattice="-3.9146 3.9146 5.6683 3.9146 -3.9146 5.6683 3.9146 3.9146 -5.6683" Properties=species:S:1:pos:R:3 pbc="T T T"
Cs 3.9146 0.0000 2.8342
Cs 0.0000 3.9146 2.8342
Au 0.0000 0.0000 0.0000
Au 0.0000 0.0000 5.6683
Br 1.7823 1.7823 0.0000
Br 2.1323 -2.1323 5.6683
Br -2.1323 2.1323 5.6683
Br 2.1323 2.1323 5.6683
Cl 0.0000 0.0000 3.3347
Cl 0.0000 0.0000 8.0020
```

=====

This entry pairs a crystal structure of Pa7Ga with its simulated powder diffractogram. Radiation: Cu Kα X-rays. Structure: DFT lattice parameters and positions (GGA-PBE).

Principal peaks in the range 2θ = 15–90°, low angle first:
| d/Å | Position (°2θ) | I (rel.) |
| --- | --- | --- |
| 5.269 | 16.8 | 4.5 |
| 2.752 | 32.5 | 2.8 |
| 2.634 | 34.0 | 100.0 |
| 2.281 | 39.5 | 50.4 |
| 1.613 | 57.1 | 35.3 |
| 1.376 | 68.2 | 41.9 |
| 1.317 | 71.6 | 12.1 |
| 1.141 | 85.0 | 5.9 |

```
8
Lattice="0.0000 4.5629 4.5629 4.5629 0.0000 4.5629 4.5629 4.5629 0.0000" Properties=species:S:1:pos:R:3 pbc="T T T"
Pa 0.0000 0.0000 0.0000
Pa 2.2815 2.2815 0.0000
Pa 2.2815 0.0000 2.2815
Pa 4.5629 2.2815 2.2815
Pa 0.0000 2.2815 2.2815
Pa 2.2815 4.5629 2.2815
Pa 2.2815 2.2815 4.5629
Ga 4.5629 4.5629 4.5629
```

=====

This entry pairs a crystal structure of Li2Sc2Ni2SnPb with its simulated powder diffractogram. Radiation: Cu Kα X-rays. Structure: DFT lattice parameters and positions (GGA-PBE).

Principal peaks in the range 2θ = 15–90°, low angle first:
| d/Å | Position (°2θ) | I (rel.) |
| --- | --- | --- |
| 3.672 | 24.2 | 54.8 |
| 3.180 | 28.1 | 31.5 |
| 2.249 | 40.1 | 100.0 |
| 1.918 | 47.4 | 29.4 |
| 1.590 | 58.0 | 16.6 |
| 1.459 | 63.8 | 12.5 |
| 1.422 | 65.7 | 12.2 |
| 1.298 | 72.9 | 33.4 |

```
8
Lattice="4.4960 0.0000 0.0000 0.0000 4.4960 0.0000 0.0000 0.0000 6.3628" Properties=species:S:1:pos:R:3 pbc="T T T"
Li 0.0000 2.2480 1.5711
Li 2.2480 0.0000 4.7917
Sc 0.0000 0.0000 0.0000
Sc 2.2480 2.2480 3.1814
Ni 0.0000 2.2480 4.8324
Ni 2.2480 0.0000 1.5304
Sn 2.2480 2.2480 0.0000
Pb 0.0000 0.0000 3.1814
```

=====

This entry pairs a crystal structure of KErFeS3 with its simulated powder diffractogram. Radiation: Cu Kα X-rays. Structure: DFT lattice parameters and positions (GGA-PBE).

Principal peaks in the range 2θ = 15–90°, low angle first:
| d/Å | Position (°2θ) | I (rel.) |
| --- | --- | --- |
| 4.166 | 21.3 | 53.6 |
| 3.511 | 25.4 | 35.1 |
| 3.060 | 29.2 | 80.6 |
| 3.015 | 29.6 | 50.0 |
| 2.894 | 30.9 | 42.7 |
| 2.605 | 34.4 | 100.0 |
| 2.587 | 34.7 | 40.8 |
| 2.092 | 43.2 | 62.7 |

```
24
Lattice="10.3489 0.0000 0.0000 0.0000 3.9405 0.0000 0.0000 0.0000 14.0434" Properties=species:S:1:pos:R:3 pbc="T T T"
K 2.4459 0.9851 0.1009
K 2.7285 2.9554 7.1226
K 7.6204 0.9851 6.9208
K 7.9030 2.9554 13.9425
Er 0.0461 2.9554 3.5772
Er 5.1283 0.9851 10.5990
Er 5.2206 2.9554 3.4445
Er 10.3028 0.9851 10.4662
Fe 2.5392 2.9554 11.0035
Fe 2.6353 0.9851 3.9818
Fe 7.7136 2.9554 10.0616
Fe 7.8098 0.9851 3.0399
S 0.6103 2.9554 12.2201
S 0.7718 0.9851 5.2945
S 2.5587 0.9851 9.6861
S 2.6157 2.9554 2.6643
S 4.4027 2.9554 12.3162
S 4.5642 0.9851 5.1983
S 5.7848 2.9554 8.8451
S 5.9462 0.9851 1.7272
S 7.7332 0.9851 11.3791
S 7.7902 2.9554 4.3574
S 9.5772 2.9554 8.7489
S 9.7386 0.9851 1.8234
```

=====

This entry pairs a crystal structure of Cs2Hf2Hg3S8 with its simulated powder diffractogram. Radiation: Cu Kα X-rays. Structure: DFT lattice parameters and positions (GGA-PBE).

Principal peaks in the range 2θ = 15–90°, low angle first:
| d/Å | Position (°2θ) | I (rel.) |
| --- | --- | --- |
| 4.170 | 21.3 | 100.0 |
| 3.921 | 22.7 | 59.3 |
| 3.825 | 23.3 | 70.2 |
| 3.175 | 28.1 | 42.3 |
| 3.139 | 28.4 | 60.0 |
| 2.765 | 32.4 | 47.5 |
| 2.750 | 32.6 | 44.3 |
| 2.511 | 35.8 | 35.7 |

```
15
Lattice="6.8180 0.0000 0.0000 -2.5140 7.7492 0.0000 -0.5136 -3.0170 8.7693" Properties=species:S:1:pos:R:3 pbc="T T T"
Cs -0.5317 2.7943 2.1763
Cs 4.3220 1.9379 6.5929
Hf 0.9937 -1.0959 6.6865
Hf 2.7966 5.8281 2.0828
Hg 1.6904 -0.6385 3.5284
Hg 3.4090 0.0000 0.0000
Hg 2.0999 5.3706 5.2408
S -1.7552 6.2969 1.4057
S -0.5631 4.8537 5.4339
S 1.0282 0.9056 5.3743
S 1.6162 5.4673 0.0000
S 2.1742 -0.7352 8.7692
S 2.7621 3.8266 3.3950
S 4.3535 -0.1215 3.3354
S 5.5455 -1.5647 7.3636
```

=====

This entry pairs a crystal structure of LaTlAuSe3 with its simulated powder diffractogram. Radiation: Cu Kα X-rays. Structure: DFT lattice parameters and positions (GGA-PBE).

Principal peaks in the range 2θ = 15–90°, low angle first:
| d/Å | Position (°2θ) | I (rel.) |
| --- | --- | --- |
| 5.569 | 15.9 | 32.7 |
| 3.036 | 29.4 | 100.0 |
| 2.784 | 32.1 | 42.5 |
| 2.745 | 32.6 | 82.4 |
| 2.404 | 37.4 | 30.7 |
| 2.075 | 43.6 | 30.6 |
| 1.820 | 50.1 | 33.0 |
| 1.664 | 55.2 | 31.5 |

```
12
Lattice="2.0754 -7.2840 0.0000 2.0754 7.2840 0.0000 0.0000 0.0000 11.1371" Properties=species:S:1:pos:R:3 pbc="T T T"
La 0.0000 0.0000 0.0000
La 0.0000 0.0000 5.5686
Tl 2.0754 3.7329 8.3529
Tl 2.0754 -3.7329 2.7843
Au 2.0754 0.4232 2.7843
Au 2.0754 -0.4232 8.3529
Se 2.0754 6.0675 2.7843
Se 2.0754 2.0604 0.7346
Se 2.0754 2.0604 4.8340
Se 2.0754 -2.0604 6.3032
Se 2.0754 -2.0604 10.4025
Se 2.0754 -6.0675 8.3529
```

=====

This entry pairs a crystal structure of Pa6Se8S with its simulated powder diffractogram. Radiation: Cu Kα X-rays. Structure: DFT lattice parameters and positions (GGA-PBE).

Principal peaks in the range 2θ = 15–90°, low angle first:
| d/Å | Position (°2θ) | I (rel.) |
| --- | --- | --- |
| 3.504 | 25.4 | 18.4 |
| 3.316 | 26.9 | 20.8 |
| 2.894 | 30.9 | 100.0 |
| 2.448 | 36.7 | 16.2 |
| 2.071 | 43.7 | 32.5 |
| 2.023 | 44.8 | 32.0 |
| 1.658 | 55.4 | 19.1 |
| 1.282 | 73.9 | 16.1 |

```
15
Lattice="3.5036 2.0228 10.2687 -3.5036 2.0228 10.2687 0.0000 -4.0456 10.2687" Properties=species:S:1:pos:R:3 pbc="T T T"
Pa -1.1278 -2.0925 11.8489
Pa -2.3761 -0.0696 18.9573
Pa -1.2483 2.0229 11.8489
Pa 1.2483 -2.0229 18.9573
Pa 2.3761 0.0696 11.8490
Pa 1.1278 2.0925 18.9573
Se -2.3112 -0.0421 13.4808
Se -1.1191 -2.0226 17.3254
Se 0.0000 0.0000 10.2688
Se 1.1921 -1.9805 13.4808
Se -1.1921 1.9805 17.3254
Se 0.0000 0.0000 20.5374
Se 1.1191 2.0227 13.4808
Se 2.3112 0.0421 17.3254
S 0.0000 0.0000 0.0000
```

=====

This entry pairs a crystal structure of AlAgAs2H2O8 with its simulated powder diffractogram. Radiation: Cu Kα X-rays. Structure: DFT lattice parameters and positions (GGA-PBE).

Principal peaks in the range 2θ = 15–90°, low angle first:
| d/Å | Position (°2θ) | I (rel.) |
| --- | --- | --- |
| 4.258 | 20.9 | 38.7 |
| 3.681 | 24.2 | 100.0 |
| 3.048 | 29.3 | 67.8 |
| 3.030 | 29.5 | 58.6 |
| 2.968 | 30.1 | 83.9 |
| 2.780 | 32.2 | 72.8 |
| 2.724 | 32.9 | 77.1 |
| 2.166 | 41.7 | 42.4 |

```
28
Lattice="3.8895 -4.9746 0.0000 3.8895 4.9746 0.0000 -2.8067 0.0000 8.2324" Properties=species:S:1:pos:R:3 pbc="T T T"
Al 1.7845 3.5996 6.1743
Al 3.1878 -3.5996 2.0581
Ag 1.9448 2.4873 0.0000
Ag 0.5414 -2.4873 4.1162
As -0.0384 0.9795 5.2866
As 1.3649 -0.9795 1.1704
As 3.6074 0.9795 7.0620
As 5.0107 -0.9795 2.9458
H 1.3125 0.1048 3.7351
H -0.0908 -0.1048 7.8513
H 5.0631 0.1048 0.3811
H 3.6598 -0.1048 4.4973
O 0.3711 2.3554 6.1923
O 2.0846 3.5468 4.2753
O 0.5893 0.0137 2.3138
O -0.8141 -0.0137 6.4300
O 1.4843 3.5468 8.0733
O 1.3837 0.1175 4.7513
O 2.7870 -0.1175 0.6351
O 3.1978 2.3554 6.1564
O 1.7745 -2.3554 2.0760
O 2.1853 0.1175 7.5973
O 3.5886 -0.1175 3.4811
O 3.4880 -3.5468 0.1591
O 5.7864 0.0137 1.8024
O 4.3830 -0.0137 5.9187
O 2.8877 -3.5468 3.9571
O 4.6012 -2.3554 2.0402
```

=====

This entry pairs a crystal structure of BaAg2SnTe3Se with its simulated powder diffractogram. Radiation: Cu Kα X-rays. Structure: DFT lattice parameters and positions (GGA-PBE).

Principal peaks in the range 2θ = 15–90°, low angle first:
| d/Å | Position (°2θ) | I (rel.) |
| --- | --- | --- |
| 3.441 | 25.9 | 100.0 |
| 3.423 | 26.0 | 42.7 |
| 3.407 | 26.2 | 43.4 |
| 3.277 | 27.2 | 32.3 |
| 2.859 | 31.3 | 33.0 |
| 2.751 | 32.5 | 79.9 |
| 2.699 | 33.2 | 67.0 |
| 1.878 | 48.5 | 24.4 |

```
8
Lattice="6.9602 0.0000 0.0000 -1.4061 6.8509 0.0000 -2.9930 -3.2262 5.5030" Properties=species:S:1:pos:R:3 pbc="T T T"
Ba 0.0000 0.0000 0.0000
Ag -1.1670 3.0160 2.8198
Ag 3.8692 0.6414 2.6343
Sn -0.1000 0.0399 5.4811
Te -2.8624 0.3433 5.3601
Te 0.9162 1.3179 3.2187
Te 3.7073 4.6597 2.2474
Se 3.5395 0.7766 0.0414
```

=====

This entry pairs a crystal structure of YTmTl4 with its simulated powder diffractogram. Radiation: Cu Kα X-rays. Structure: DFT lattice parameters and positions (GGA-PBE).

Principal peaks in the range 2θ = 15–90°, low angle first:
| d/Å | Position (°2θ) | I (rel.) |
| --- | --- | --- |
| 2.730 | 32.8 | 100.0 |
| 2.425 | 37.1 | 16.7 |
| 2.342 | 38.4 | 16.8 |
| 2.330 | 38.6 | 16.5 |
| 1.652 | 55.6 | 11.6 |
| 1.452 | 64.1 | 12.1 |
| 1.416 | 66.0 | 13.6 |
| 1.411 | 66.3 | 13.4 |

```
12
Lattice="4.6603 0.0000 0.0000 0.0000 4.6849 0.0000 0.0000 0.0000 14.5475" Properties=species:S:1:pos:R:3 pbc="T T T"
Y 0.0000 0.0000 0.0000
Y 0.0000 2.3425 7.2738
Tm 0.0000 0.0000 4.5150
Tm 0.0000 2.3425 11.7888
Tl 0.0000 0.0000 9.5541
Tl 0.0000 2.3425 2.2804
Tl 2.3301 0.0000 2.2842
Tl 2.3301 0.0000 6.9630
Tl 2.3301 0.0000 12.0936
Tl 2.3301 2.3425 4.8198
Tl 2.3301 2.3425 9.5580
Tl 2.3301 2.3425 14.2368
```

=====

This entry pairs a crystal structure of NdHg3S4Br with its simulated powder diffractogram. Radiation: Cu Kα X-rays. Structure: DFT lattice parameters and positions (GGA-PBE).

Principal peaks in the range 2θ = 15–90°, low angle first:
| d/Å | Position (°2θ) | I (rel.) |
| --- | --- | --- |
| 4.294 | 20.7 | 35.7 |
| 3.639 | 24.5 | 28.9 |
| 3.428 | 26.0 | 100.0 |
| 2.911 | 30.7 | 60.9 |
| 2.679 | 33.4 | 79.3 |
| 2.018 | 44.9 | 22.8 |
| 1.979 | 45.8 | 46.4 |
| 1.820 | 50.1 | 24.3 |

```
18
Lattice="7.9177 0.0000 0.0000 -3.9589 6.8570 0.0000 0.0000 0.0000 8.5876" Properties=species:S:1:pos:R:3 pbc="T T T"
Nd 0.0000 0.0000 0.0000
Nd 0.0000 0.0000 4.2938
Hg -1.8934 3.4781 1.4773
Hg 1.8934 3.4781 1.4773
Hg 0.0000 6.7576 1.4773
Hg 3.9589 0.0993 5.7711
Hg 2.0655 3.3788 5.7711
Hg 5.8523 3.3788 5.7711
S 0.0000 1.9780 6.3858
S -2.2458 5.8679 6.3858
S 1.7130 0.9890 2.0920
S 0.0000 4.5713 0.1935
S 3.9589 2.2857 4.4874
S 2.2458 5.8679 6.3858
S 6.2047 0.9890 2.0920
S 3.9589 4.8789 2.0920
Br 0.0000 4.5713 3.7678
Br 3.9589 2.2857 8.0616
```

=====

This entry pairs a crystal structure of TbAlCuPt with its simulated powder diffractogram. Radiation: Cu Kα X-rays. Structure: DFT lattice parameters and positions (GGA-PBE).

Principal peaks in the range 2θ = 15–90°, low angle first:
| d/Å | Position (°2θ) | I (rel.) |
| --- | --- | --- |
| 3.763 | 23.6 | 59.2 |
| 2.893 | 30.9 | 9.4 |
| 2.354 | 38.2 | 100.0 |
| 2.173 | 41.6 | 61.4 |
| 1.597 | 57.7 | 30.1 |
| 1.287 | 73.6 | 29.1 |
| 1.254 | 75.8 | 10.4 |
| 1.239 | 77.0 | 12.5 |

```
8
Lattice="4.3455 0.0000 0.0000 -2.1727 3.7633 0.0000 0.0000 0.0000 9.0499" Properties=species:S:1:pos:R:3 pbc="T T T"
Tb 0.0000 0.0000 0.0000
Tb 0.0000 2.5089 4.5249
Al 2.1727 1.2544 2.3161
Al 2.1727 1.2544 6.7338
Cu 0.0000 2.5089 1.5354
Cu 0.0000 2.5089 7.5145
Pt 0.0000 0.0000 2.8607
Pt 0.0000 0.0000 6.1892
```

=====

This entry pairs a crystal structure of Li5CdO4 with its simulated powder diffractogram. Radiation: Cu Kα X-rays. Structure: DFT lattice parameters and positions (GGA-PBE).

Principal peaks in the range 2θ = 15–90°, low angle first:
| d/Å | Position (°2θ) | I (rel.) |
| --- | --- | --- |
| 5.454 | 16.3 | 100.0 |
| 5.191 | 17.1 | 82.7 |
| 3.830 | 23.2 | 45.4 |
| 3.695 | 24.1 | 43.2 |
| 2.763 | 32.4 | 38.2 |
| 2.484 | 36.2 | 72.0 |
| 2.379 | 37.8 | 41.3 |
| 1.922 | 47.3 | 41.3 |

```
10
Lattice="5.1945 0.0000 0.0000 0.0000 3.2634 0.0000 -0.1961 0.0000 5.4541" Properties=species:S:1:pos:R:3 pbc="T T T"
Li 0.0000 0.0000 0.0000
Li 1.7832 1.6317 0.8686
Li 1.8123 0.0000 3.6851
Li 3.1861 0.0000 1.7690
Li 3.2153 1.6317 4.5855
Cd -0.0980 1.6317 2.7271
O 1.2386 0.0000 1.7474
O 1.1957 1.6317 4.4987
O 3.8028 1.6317 0.9554
O 3.7599 0.0000 3.7067
```